# Pa3Al11
Theoretical X-ray powder pattern, Cu Kα. Input: a GGA-PBE-relaxed structure.
Lines closer than 0.1° are merged.

Crystal structure
Lattice parameters (Å, degrees): 4.3235 9.9932 12.3998 90.00 90.00 90.00
Space group Immm (No. 71)
Inequivalent atoms, fractional coordinates:
Pa1 0.0000 0.0000 0.0000 x2
Pa2 0.0000 0.0000 0.3059 x4
Al1 0.0000 0.1943 0.5000 x4
Al2 0.0000 0.2763 0.1390 x8
Al3 0.0000 0.3709 0.3431 x8
Al4 0.0000 0.5000 0.0000 x2

Principal peaks in the range 2θ from 15° to 90°, by angle:
d = 4.997 Å, I 65
d = 3.968 Å, I 83
d = 3.819 Å, I 61
d = 2.988 Å, I 46
d = 2.638 Å, I 63
d = 2.594 Å, I 40
d = 2.564 Å, I 100
d = 2.443 Å, I 19
d = 2.162 Å, I 25
d = 1.661 Å, I 21